This entry pairs a crystal structure of LiAc4Pd2 with its theoretical X-ray diffraction stick pattern. Radiation: CuKα. Structure: a cell relaxed with GGA-PBE.

Main lines, low angle first (10 to 90 degrees two-theta):
2θ = 26.33°, d 3.385, I = 45; 2θ = 26.51°, d 3.362, I = 56; 2θ = 26.65°, d 3.345, I = 62; 2θ = 29.24°, d 3.054, I = 41; 2θ = 29.46°, d 3.032, I = 62; 2θ = 29.91°, d 2.987, I = 46; 2θ = 30.11°, d 2.968, I = 100; 2θ = 31.80°, d 2.814, I = 43; 2θ = 32.63°, d 2.744, I = 67; 2θ = 40.79°, d 2.212, I = 34

Crystal structure
a = 7.5634 Å, b = 7.6724 Å, c = 9.3702 Å
α = 108.10°, β = 107.73°, γ = 103.92°
Space group P1 (No. 1)
One atom of each set of equivalent atoms:
Li 0.0000 0.0000 0.0000 [1 per cell]
Li 0.2333 0.7393 0.4661 [1 per cell]
Ac 0.0327 0.1463 0.3713 [1 per cell]
Ac 0.3350 0.1130 0.7935 [1 per cell]
Ac 0.4399 0.8910 0.2004 [1 per cell]
Ac 0.4700 0.4236 0.2661 [1 per cell]
Ac 0.4965 0.6344 0.7933 [1 per cell]
Ac 0.7762 0.0537 0.6751 [1 per cell]
Ac 0.8942 0.5087 0.0954 [1 per cell]
Ac 0.9354 0.5731 0.6707 [1 per cell]
Pd 0.1971 0.4448 0.9290 [1 per cell]
Pd 0.5009 0.2473 0.5373 [1 per cell]
Pd 0.6821 0.0907 0.0465 [1 per cell]
Pd 0.8654 0.7774 0.4186 [1 per cell]

=====

This entry pairs a crystal structure of Lu4Al24Pt9 with its theoretical X-ray diffraction stick pattern. Radiation: CuKα. Structure: a cell relaxed with GGA-PBE.

Main lines, low angle first (10 to 90 degrees two-theta):
2θ = 20.68°, d 4.295, I = 23; 2θ = 23.83°, d 3.734, I = 77; 2θ = 28.77°, d 3.103, I = 83; 2θ = 30.16°, d 2.963, I = 88; 2θ = 34.81°, d 2.577, I = 19; 2θ = 34.99°, d 2.565, I = 23; 2θ = 38.64°, d 2.330, I = 32; 2θ = 41.70°, d 2.166, I = 100; 2θ = 44.61°, d 2.031, I = 26; 2θ = 55.45°, d 1.657, I = 19

Crystal structure
a = 7.4975 Å, b = 7.5015 Å, c = 13.1216 Å
α = 79.10°, β = 84.53°, γ = 60.08°
Space group P-1 (No. 2)
One atom of each set of equivalent atoms:
Lu 0.0010 0.2321 0.3084 [2 per cell]
Lu 0.3320 0.5623 0.3084 [2 per cell]
Al 0.0007 0.6857 0.9412 [2 per cell]
Al 0.0015 0.8524 0.4433 [2 per cell]
Al 0.0060 0.0571 0.8267 [2 per cell]
Al 0.1295 0.3093 0.6839 [2 per cell]
Al 0.3324 0.0208 0.9386 [2 per cell]
Al 0.3317 0.1845 0.4514 [2 per cell]
Al 0.3335 0.6467 0.0588 [2 per cell]
Al 0.3343 0.3842 0.8268 [2 per cell]
Al 0.3337 0.4826 0.5567 [2 per cell]
Al 0.3360 0.8971 0.6828 [2 per cell]
Al 0.3397 0.2694 0.1719 [2 per cell]
Al 0.4571 0.8969 0.3166 [2 per cell]
Pt 0.0000 0.5000 0.5000 [1 per cell]
Pt 0.0091 0.6112 0.1394 [2 per cell]
Pt 0.3245 0.9541 0.1376 [2 per cell]
Pt 0.3283 0.8285 0.4998 [2 per cell]
Pt 0.3332 0.7040 0.8606 [2 per cell]